Record 1
Simulated X-ray powder pattern of UTlCuSe4 for Cu Kα (λ = 1.5418 Å), from a structure optimized by DFT (PBE).

Most intense lines, 2θ = 5–70°, most intense first:
| two_theta | d/Å | intensity | hkl |
| --- | --- | --- | --- |
| 31.32 | 2.856 | 100 | 0 2 0 |
| 20.43 | 4.348 | 74 | 1 1 0 |
| 28.01 | 3.186 | 56 | 2 0 -2 |
| 42.45 | 2.129 | 47 | 3 1 -2 |
| 41.54 | 2.174 | 42 | 2 2 0 |
| 32.17 | 2.783 | 40 | 2 1 -2 |
| 27.06 | 3.295 | 37 | 1 0 2 |
| 9.86 | 8.973 | 37 | 0 0 1 |
| 25.58 | 3.483 | 34 | 1 1 -2 |
| 37.31 | 2.410 | 33 | 0 2 2 |

Cell and atoms:
Cell lengths 7.0300, 5.7147, 9.4138 Å; angles 90.00, 107.61, 90.00 degrees
Positions (direct):
U: 0.2324 0.2500 0.4448
U: 0.7676 0.7500 0.5552
Tl: 0.2407 0.2500 0.9482
Tl: 0.7593 0.7500 0.0518
Cu: 0.2388 0.7500 0.6709
Cu: 0.7612 0.2500 0.3291
Se: 0.0388 0.7500 0.8348
Se: 0.0690 0.7500 0.4099
Se: 0.4795 0.5097 0.2969
Se: 0.4795 0.9903 0.2969
Se: 0.5205 0.0097 0.7031
Se: 0.5205 0.4903 0.7031
Se: 0.9310 0.2500 0.5901
Se: 0.9612 0.2500 0.1652

Record 2
Simulated X-ray powder pattern of TmZrTcRh for Cu Kα (λ = 1.5418 Å), from a structure optimized by DFT (PBE).

Most intense lines, 2θ = 5–70°, most intense first:
| two_theta | d/Å | intensity | hkl |
| --- | --- | --- | --- |
| 38.23 | 2.354 | 100 | 2 2 0 |
| 69.12 | 1.359 | 34 | 4 2 2 |
| 55.18 | 1.664 | 17 | 4 0 0 |
| 23.14 | 3.844 | 6 | 1 1 1 |
| 45.17 | 2.007 | 3 | 3 1 1 |
| 26.78 | 3.329 | 2 | 2 0 0 |
| 60.63 | 1.527 | 1 | 3 3 1 |
| 62.37 | 1.489 | 1 | 4 2 0 |
| 47.30 | 1.922 | 1 | 2 2 2 |

Cell and atoms:
Cell lengths 6.6579, 6.6579, 6.6579 Å; angles 90.00, 90.00, 90.00 degrees
Positions (direct):
Tm: 0.0000 0.0000 0.0000
Tm: 0.0000 0.5000 0.5000
Tm: 0.5000 0.0000 0.5000
Tm: 0.5000 0.5000 0.0000
Zr: 0.0000 0.0000 0.5000
Zr: 0.0000 0.5000 0.0000
Zr: 0.5000 0.0000 0.0000
Zr: 0.5000 0.5000 0.5000
Tc: 0.2500 0.2500 0.7500
Tc: 0.2500 0.7500 0.2500
Tc: 0.7500 0.2500 0.2500
Tc: 0.7500 0.7500 0.7500
Rh: 0.2500 0.2500 0.2500
Rh: 0.2500 0.7500 0.7500
Rh: 0.7500 0.2500 0.7500
Rh: 0.7500 0.7500 0.2500